No. 1
Ta3PbS6: simulated PXRD pattern (λ = 1.5418 Å (Cu Kα)), based on the PBE geometry in OQMD.
Kinematic intensities with the Lorentz-polarization factor, no thermal factor.

Crystal structure
```
Ta3PbS6
1.0
5.8077 0.0000 0.0000
-2.9039 5.0296 0.0000
0.0000 0.0000 15.0006
Ta Pb S
6 2 12
Direct
0.0000 0.0000 0.2500 Ta
0.0000 0.0000 0.7500 Ta
0.3333 0.6667 0.2500 Ta
0.3333 0.6667 0.7500 Ta
0.6667 0.3333 0.2500 Ta
0.6667 0.3333 0.7500 Ta
0.0000 0.0000 0.0000 Pb
0.0000 0.0000 0.5000 Pb
0.0000 0.3367 0.1462 S
0.0000 0.3367 0.3538 S
0.0000 0.6633 0.6462 S
0.0000 0.6633 0.8538 S
0.3367 0.0000 0.1462 S
0.3367 0.0000 0.3538 S
0.3367 0.3367 0.6462 S
0.3367 0.3367 0.8538 S
0.6633 0.0000 0.6462 S
0.6633 0.0000 0.8538 S
0.6633 0.6633 0.1462 S
0.6633 0.6633 0.3538 S
```

Principal peaks in the range 10° ≤ 2θ ≤ 90°, sorted by position:
Position (°2θ)  I (rel.)
11.80  68
17.63  22
21.27  29
23.73  28
30.79  57
33.08  22
39.24  100
54.75  24
58.60  23
69.41  19
76.17  17
84.36  18

No. 2
Tm2PbS4: simulated PXRD pattern (λ = 1.5418 Å (Cu Kα)), based on the PBE geometry in OQMD.
Kinematic intensities with the Lorentz-polarization factor, no thermal factor.

Crystal structure
```
Tm2PbS4
1.0
11.9661 0.0000 0.0000
0.0000 3.9327 0.0000
0.0000 0.0000 14.2250
Tm Pb S
8 4 16
Direct
0.0633 0.2500 0.1114 Tm
0.0820 0.2500 0.5992 Tm
0.4180 0.7500 0.0992 Tm
0.4367 0.7500 0.6114 Tm
0.5633 0.2500 0.3886 Tm
0.5820 0.2500 0.9008 Tm
0.9180 0.7500 0.4008 Tm
0.9367 0.7500 0.8886 Tm
0.2392 0.2500 0.3353 Pb
0.2608 0.7500 0.8353 Pb
0.7392 0.2500 0.1647 Pb
0.7608 0.7500 0.6647 Pb
0.0242 0.7500 0.7149 S
0.0866 0.2500 0.9240 S
0.1278 0.7500 0.4722 S
0.2064 0.7500 0.1691 S
0.2936 0.2500 0.6691 S
0.3722 0.2500 0.9722 S
0.4134 0.7500 0.4240 S
0.4758 0.2500 0.2149 S
0.5242 0.7500 0.7851 S
0.5866 0.2500 0.5760 S
0.6278 0.7500 0.0278 S
0.7064 0.7500 0.3309 S
0.7936 0.2500 0.8309 S
0.8722 0.2500 0.5278 S
0.9134 0.7500 0.0760 S
0.9758 0.2500 0.2851 S
```

Principal peaks in the range 10° ≤ 2θ ≤ 90°, sorted by position:
Position (°2θ)  I (rel.)
19.39  19
25.04  40
25.61  100
26.96  53
27.13  30
30.46  44
37.27  52
38.33  21
40.95  22
45.88  19
46.18  41
53.53  28

No. 3
TmSbPb: simulated PXRD pattern (λ = 1.5418 Å (Cu Kα)), based on the PBE geometry in OQMD.
Kinematic intensities with the Lorentz-polarization factor, no thermal factor.

Crystal structure
```
TmSbPb
1.0
0.0000 3.6374 3.6374
3.6374 0.0000 3.6374
3.6374 3.6374 0.0000
Tm Sb Pb
1 1 1
Direct
0.0000 0.0000 0.0000 Tm
0.2500 0.2500 0.2500 Sb
0.7500 0.7500 0.7500 Pb
```

Principal peaks in the range 10° ≤ 2θ ≤ 90°, sorted by position:
Position (°2θ)  I (rel.)
21.15  33
24.47  13
34.88  100
41.15  18
50.16  18
55.02  8
56.58  5
62.55  37
66.82  6
73.66  12
77.65  6
84.17  17